This entry pairs a crystal structure of SmErSiGe with its theoretical powder diffraction line list. Radiation: Cu Kα (weighted mean of Kα1 and Kα2). Structure: a structure optimized by DFT (PBE).
Neutral-atom scattering factors, no anomalous dispersion.

The 12 most intense peaks (10° ≤ 2θ ≤ 90°), by intensity:
d/Å	I/Imax	hkl
2.804	100	1 1 1
2.753	46	0 1 3
2.254	43	1 1 3
3.165	40	1 0 2
2.678	30	0 0 4
2.162	24	0 2 0
4.010	19	0 1 1
1.961	18	2 0 0
1.598	18	2 1 3
1.785	16	1 2 2
1.724	15	1 1 5
1.682	15	0 2 4

Structure:
a = 3.923 Å, b = 4.325 Å, c = 10.710 Å
α = 90.00°, β = 90.00°, γ = 90.00°
Space group Amm2 (No. 38)
Asymmetric unit:
Sm1 0.000 0.000 0.000
Er1 0.500 0.000 0.278
Si1 0.000 0.000 0.722
Ge1 0.500 0.000 0.562

***

This entry pairs a crystal structure of NaAlC with its theoretical powder diffraction line list. Radiation: Cu Kα (weighted mean of Kα1 and Kα2). Structure: a structure optimized by DFT (PBE).
Neutral-atom scattering factors, no anomalous dispersion.

The 12 most intense peaks (10° ≤ 2θ ≤ 90°), by intensity:
d/Å	I/Imax	hkl
8.743	100	0 0 1
1.933	21	1 1 3
2.584	18	1 1 0
2.744	17	1 0 2
3.485	16	0 1 1
2.914	13	0 0 3
2.246	9	1 0 3
1.900	8	0 2 0
1.762	6	2 0 0
1.669	5	1 1 4
1.562	5	1 2 2
1.592	4	0 2 3

Structure:
a = 3.525 Å, b = 3.800 Å, c = 8.743 Å
α = 90.00°, β = 90.00°, γ = 90.00°
Space group Pmmn (No. 59, origin choice 2)
Asymmetric unit:
Na1 0.250 0.250 0.192
Al1 0.250 0.250 0.529
C1 0.250 0.750 0.603